Calculated X-ray diffraction stick pattern of Ba5Sn3 for λ = 1.5418 Å (Cu Kα), from a PBE-relaxed structure.
Lines closer than 0.1° are merged.

Principal peaks in the range 10 to 90 degrees two-theta, by intensity:
d (Å)  I (rel.)
3.316  100.0
3.134  59.4
2.858  46.4
1.643  31.2
2.175  24.4
3.195  19.9
2.638  16.9
1.913  16.7
1.731  15.5
2.050  15.2
2.481  12.4
2.900  12.3

Crystal structure
Cell: 10.7944 10.7944 10.7944 Å, 130.50 130.50 72.60°
Fractional coordinates of all 16 atoms:
Ba (0.0000, 0.0000, 0.0000)
Ba (0.0357, 0.5357, 0.8575)
Ba (0.1782, 0.0357, 0.5000)
Ba (0.3218, 0.8218, 0.8575)
Ba (0.4643, 0.3218, 0.5000)
Ba (0.5000, 0.5000, 0.0000)
Ba (0.5357, 0.6782, 0.5000)
Ba (0.6782, 0.1782, 0.1425)
Ba (0.8218, 0.9643, 0.5000)
Ba (0.9643, 0.4643, 0.1425)
Sn (0.1153, 0.3847, 0.5000)
Sn (0.2500, 0.2500, 0.0000)
Sn (0.3847, 0.8847, 0.2695)
Sn (0.6153, 0.1153, 0.7305)
Sn (0.7500, 0.7500, 0.0000)
Sn (0.8847, 0.6153, 0.5000)

Calculated X-ray diffraction stick pattern of Ba4CdPd2 for λ = 1.5418 Å (Cu Kα), from a PBE-relaxed structure.
Lines closer than 0.1° are merged.

Principal peaks in the range 10 to 90 degrees two-theta, by intensity:
d (Å)  I (rel.)
3.207  100.0
2.592  38.2
2.606  35.6
3.136  29.0
2.484  28.2
1.658  23.2
1.928  21.9
2.228  21.9
2.652  20.2
3.061  18.2
3.038  17.6
3.894  17.0

Crystal structure
Cell: 8.2925 8.2925 8.9139 Å, 105.24 105.24 73.59°
Fractional coordinates of all 14 atoms:
Ba (0.0000, 0.0000, 0.0000)
Ba (0.0024, 0.0024, 0.5188)
Ba (0.0164, 0.5535, 0.6532)
Ba (0.5108, 0.5108, 0.0049)
Ba (0.5198, 0.5198, 0.5255)
Ba (0.5396, 0.9978, 0.1429)
Ba (0.5535, 0.0164, 0.6532)
Ba (0.9978, 0.5396, 0.1429)
Cd (0.2151, 0.2151, 0.8658)
Cd (0.2217, 0.2217, 0.3702)
Pd (0.3176, 0.8334, 0.7984)
Pd (0.7165, 0.7165, 0.8673)
Pd (0.7296, 0.7296, 0.3761)
Pd (0.8334, 0.3176, 0.7984)